Entry 1:
# Y3InO
Calculated powder X-ray diffraction pattern, Cu Kα (λ = 1.5418 Å). Input: the GGA-PBE geometry in Alexandria.

Peak list (10 most intense, 10° ≤ 2θ ≤ 80°, by angle)
2theta, I_rel
27.96, 2.5
31.81, 100.0
32.50, 24.6
38.93, 34.0
51.59, 25.6
56.23, 11.1
57.55, 16.5
66.07, 23.3
66.47, 11.6
68.07, 1.9

Atomic structure:
a b c (Å): 11.4949 11.4949 11.4949
angles (deg): 156.78 156.78 33.07
Fractional coordinates of all 10 atoms:
Y 0.0000 0.5000 0.5000
Y 0.1236 0.1236 0.0000
Y 0.2500 0.7500 0.5000
Y 0.5000 0.0000 0.5000
Y 0.7500 0.2500 0.5000
Y 0.8764 0.8764 0.0000
In 0.3853 0.3853 0.0000
In 0.6147 0.6147 0.0000
O 0.2252 0.2252 0.0000
O 0.7748 0.7748 0.0000

***

Entry 2:
# Y2InO2
Calculated powder X-ray diffraction pattern, Cu Kα (λ = 1.5418 Å). Input: the GGA-PBE geometry in Alexandria.

Peak list (10 most intense, 10° ≤ 2θ ≤ 80°, by angle)
2theta, I_rel
17.89, 17.4
21.11, 56.0
32.68, 100.0
33.26, 21.2
36.23, 29.2
38.74, 48.6
54.08, 34.7
55.94, 15.7
66.32, 25.9
68.49, 16.4

Atomic structure:
a b c (Å): 5.9493 5.9493 5.9493
angles (deg): 134.00 134.00 67.09
Fractional coordinates of all 5 atoms:
Y 0.2500 0.7500 0.5000
Y 0.7500 0.2500 0.5000
In 0.0000 0.0000 0.0000
O 0.2622 0.2622 0.0000
O 0.7378 0.7378 0.0000

***

Entry 3:
# Zn3In2O6
Calculated powder X-ray diffraction pattern, Cu Kα (λ = 1.5418 Å). Input: the GGA-PBE geometry in Alexandria.

Peak list (10 most intense, 10° ≤ 2θ ≤ 80°, by angle)
2theta, I_rel
30.33, 79.8
31.14, 68.7
33.66, 100.0
34.64, 97.5
45.59, 42.2
53.72, 24.2
53.76, 48.0
58.34, 33.8
63.44, 49.9
64.93, 18.6

Atomic structure:
a b c (Å): 5.9051 6.8247 14.4919
angles (deg): 90.00 97.77 90.00
Fractional coordinates of all 44 atoms:
Zn 0.1351 0.0005 0.4096
Zn 0.1351 0.4995 0.4096
Zn 0.2279 0.2500 0.2104
Zn 0.2604 0.5018 0.7889
Zn 0.2604 0.9982 0.7889
Zn 0.3572 0.2500 0.5904
Zn 0.6428 0.7500 0.4096
Zn 0.7396 0.0018 0.2111
Zn 0.7396 0.4982 0.2111
Zn 0.7721 0.7500 0.7896
Zn 0.8649 0.9995 0.5904
Zn 0.8649 0.5005 0.5904
In 0.0000 0.0000 0.0000
In 0.0000 0.5000 0.0000
In 0.2457 0.7500 0.2326
In 0.3704 0.7500 0.6042
In 0.4989 0.2500 0.9981
In 0.5011 0.7500 0.0019
In 0.6296 0.2500 0.3958
In 0.7543 0.2500 0.7674
O 0.0749 0.0148 0.2546
O 0.0749 0.4852 0.2546
O 0.1876 0.2500 0.0716
O 0.1887 0.0014 0.5712
O 0.1887 0.4986 0.5712
O 0.1939 0.7500 0.0800
O 0.3015 0.7500 0.3956
O 0.3044 0.2500 0.4295
O 0.3083 0.5032 0.9277
O 0.3083 0.9968 0.9277
O 0.3918 0.2500 0.7471
O 0.4245 0.7500 0.7536
O 0.5755 0.2500 0.2464
O 0.6082 0.7500 0.2529
O 0.6918 0.0032 0.0723
O 0.6918 0.4968 0.0723
O 0.6956 0.7500 0.5705
O 0.6985 0.2500 0.6044
O 0.8061 0.2500 0.9200
O 0.8113 0.5014 0.4288
O 0.8113 0.9986 0.4288
O 0.8124 0.7500 0.9284
O 0.9251 0.5148 0.7454
O 0.9251 0.9852 0.7454

***

Entry 4:
# ZnInO
Calculated powder X-ray diffraction pattern, Cu Kα (λ = 1.5418 Å). Input: the GGA-PBE geometry in Alexandria.

Peak list (10 most intense, 10° ≤ 2θ ≤ 80°, by angle)
2theta, I_rel
32.97, 100.0
33.17, 48.2
33.30, 47.4
38.41, 80.5
55.35, 23.6
55.43, 12.6
55.82, 12.3
65.87, 23.6
66.05, 15.4
66.29, 18.3

Atomic structure:
a b c (Å): 3.2942 3.3152 5.7475
angles (deg): 106.48 90.25 119.68
Fractional coordinates of all 3 atoms:
Zn 0.0000 0.0000 0.0000
In 0.4851 0.9766 0.4567
O 0.6289 0.2605 0.8843